Entry 1:
Diffraction record for Pr9Sb5O5. The powder diffraction line list is simulated, not measured: it uses a crystal structure in the Materials Project, relaxed with GGA-PBE and copper Kα.
Peak positions follow from Bragg's law for the DFT cell and can differ from measured ones.

Main lines, low angle first (2θ = 15–90°):
2θ = 27.3°, rel. 441; 2θ = 28.7°, rel. 698; 2θ = 28.9°, rel. 1000; 2θ = 33.5°, rel. 964; 2θ = 39.0°, rel. 667; 2θ = 40.0°, rel. 209; 2θ = 49.1°, rel. 553; 2θ = 56.3°, rel. 198; 2θ = 56.9°, rel. 240; 2θ = 64.4°, rel. 214

Crystal structure
Cell lengths 10.3411, 10.3411, 9.3196 Å; angles 90.00, 90.00, 90.00 degrees
Element x y z (fractional)
Pr 0.0234 0.3314 0.0012
Pr 0.0456 0.8538 0.6555
Pr 0.1462 0.5456 0.3445
Pr 0.1686 0.0234 0.0012
Pr 0.2500 0.2500 0.6683
Pr 0.3314 0.4766 0.0012
Pr 0.3538 0.9544 0.3445
Pr 0.4544 0.6462 0.6555
Pr 0.4766 0.1686 0.0012
Pr 0.5234 0.8314 0.9988
Pr 0.5456 0.3538 0.3445
Pr 0.6462 0.0456 0.6555
Pr 0.6686 0.5234 0.9988
Pr 0.7500 0.7500 0.3317
Pr 0.8314 0.9766 0.9988
Pr 0.8538 0.4544 0.6555
Pr 0.9544 0.1462 0.3445
Pr 0.9766 0.6686 0.9988
Sb 0.0533 0.8467 0.2997
Sb 0.1533 0.5533 0.7003
Sb 0.2500 0.2500 0.3145
Sb 0.3467 0.9467 0.7003
Sb 0.4467 0.6533 0.2997
Sb 0.5533 0.3467 0.7003
Sb 0.6533 0.0533 0.2997
Sb 0.7500 0.7500 0.6855
Sb 0.8467 0.4467 0.2997
Sb 0.9467 0.1533 0.7003
O 0.0253 0.8709 0.9102
O 0.1291 0.5253 0.0898
O 0.2500 0.2500 0.9326
O 0.3709 0.9747 0.0898
O 0.4747 0.6291 0.9102
O 0.5253 0.3709 0.0898
O 0.6291 0.0253 0.9102
O 0.7500 0.7500 0.0674
O 0.8709 0.4747 0.9102
O 0.9747 0.1291 0.0898

Entry 2:
Diffraction record for Sr2PrSbO6. The powder diffraction line list is simulated, not measured: it uses a crystal structure in the Materials Project, relaxed with GGA-PBE and copper Kα.
Peak positions follow from Bragg's law for the DFT cell and can differ from measured ones.

Main lines, low angle first (2θ = 15–90°):
2θ = 20.7°, rel. 111; 2θ = 29.4°, rel. 1000; 2θ = 42.0°, rel. 320; 2θ = 47.3°, rel. 43; 2θ = 52.1°, rel. 404; 2θ = 60.9°, rel. 197; 2θ = 65.1°, rel. 18; 2θ = 69.1°, rel. 182; 2θ = 76.8°, rel. 64; 2θ = 84.2°, rel. 215

Crystal structure
Cell lengths 6.0821, 6.0821, 6.0821 Å; angles 60.00, 60.00, 60.00 degrees
Element x y z (fractional)
Sr 0.2500 0.2500 0.2500
Sr 0.7500 0.7500 0.7500
Pr 0.0000 0.0000 0.0000
Sb 0.5000 0.5000 0.5000
O 0.2679 0.2679 0.7321
O 0.2679 0.7321 0.2679
O 0.2679 0.7321 0.7321
O 0.7321 0.2679 0.2679
O 0.7321 0.2679 0.7321
O 0.7321 0.7321 0.2679

Entry 3:
Diffraction record for Sr2PrSbO6. The powder diffraction line list is simulated, not measured: it uses a crystal structure in the Materials Project, relaxed with GGA-PBE and copper Kα.
Peak positions follow from Bragg's law for the DFT cell and can differ from measured ones.

Main lines, low angle first (2θ = 15–90°):
2θ = 20.8°, rel. 96; 2θ = 29.6°, rel. 1000; 2θ = 42.4°, rel. 284; 2θ = 47.7°, rel. 38; 2θ = 52.6°, rel. 446; 2θ = 61.5°, rel. 166; 2θ = 65.7°, rel. 14; 2θ = 69.7°, rel. 183; 2θ = 77.5°, rel. 53; 2θ = 85.1°, rel. 227

Crystal structure
Cell lengths 8.5314, 8.5314, 8.5314 Å; angles 90.00, 90.00, 90.00 degrees
Element x y z (fractional)
Sr 0.2500 0.2500 0.2500
Sr 0.2500 0.2500 0.7500
Sr 0.2500 0.7500 0.2500
Sr 0.2500 0.7500 0.7500
Sr 0.7500 0.2500 0.2500
Sr 0.7500 0.2500 0.7500
Sr 0.7500 0.7500 0.2500
Sr 0.7500 0.7500 0.7500
Pr 0.0000 0.0000 0.0000
Pr 0.0000 0.5000 0.5000
Pr 0.5000 0.0000 0.5000
Pr 0.5000 0.5000 0.0000
Sb 0.0000 0.0000 0.5000
Sb 0.0000 0.5000 0.0000
Sb 0.5000 0.0000 0.0000
Sb 0.5000 0.5000 0.5000
O 0.0348 0.5431 0.7700
O 0.0348 0.9569 0.7300
O 0.0431 0.2300 0.5348
O 0.0431 0.2700 0.9652
O 0.2300 0.5348 0.0431
O 0.2300 0.9652 0.4569
O 0.2700 0.5348 0.4569
O 0.2700 0.9652 0.0431
O 0.4569 0.2300 0.9652
O 0.4569 0.2700 0.5348
O 0.4652 0.5431 0.7300
O 0.4652 0.9569 0.7700
O 0.5348 0.0431 0.2300
O 0.5348 0.4569 0.2700
O 0.5431 0.7300 0.4652
O 0.5431 0.7700 0.0348
O 0.7300 0.0348 0.9569
O 0.7300 0.4652 0.5431
O 0.7700 0.0348 0.5431
O 0.7700 0.4652 0.9569
O 0.9569 0.7300 0.0348
O 0.9569 0.7700 0.4652
O 0.9652 0.0431 0.2700
O 0.9652 0.4569 0.2300

Entry 4:
Diffraction record for PrZnSb2O6. The powder diffraction line list is simulated, not measured: it uses a crystal structure in the Materials Project, relaxed with GGA-PBE and copper Kα.
Peak positions follow from Bragg's law for the DFT cell and can differ from measured ones.

Main lines, low angle first (2θ = 15–90°):
2θ = 25.8°, rel. 182; 2θ = 28.0°, rel. 170; 2θ = 30.3°, rel. 1000; 2θ = 31.5°, rel. 261; 2θ = 32.2°, rel. 283; 2θ = 42.6°, rel. 128; 2θ = 44.2°, rel. 139; 2θ = 48.3°, rel. 177; 2θ = 55.3°, rel. 367; 2θ = 58.8°, rel. 147

Crystal structure
Cell lengths 8.1974, 6.3723, 5.6818 Å; angles 90.00, 90.00, 90.00 degrees
Element x y z (fractional)
Pr 0.0000 0.1582 0.0000
Pr 0.5000 0.8418 0.5000
Zn 0.0000 0.8445 0.4869
Zn 0.5000 0.1555 0.9869
Sb 0.2453 0.7070 0.9840
Sb 0.2547 0.2930 0.4840
Sb 0.7453 0.2930 0.4840
Sb 0.7547 0.7070 0.9840
O 0.0000 0.2712 0.6038
O 0.0000 0.7965 0.8236
O 0.1811 0.9170 0.2708
O 0.1861 0.4298 0.1316
O 0.3139 0.5702 0.6316
O 0.3189 0.0830 0.7708
O 0.5000 0.2035 0.3236
O 0.5000 0.7288 0.1038
O 0.6811 0.0830 0.7708
O 0.6861 0.5702 0.6316
O 0.8139 0.4298 0.1316
O 0.8189 0.9170 0.2708

Entry 5:
Diffraction record for PrScO3. The powder diffraction line list is simulated, not measured: it uses a crystal structure in the Materials Project, relaxed with GGA-PBE and copper Kα.
Peak positions follow from Bragg's law for the DFT cell and can differ from measured ones.

Main lines, low angle first (2θ = 15–90°):
2θ = 21.9°, rel. 435; 2θ = 24.5°, rel. 156; 2θ = 30.5°, rel. 201; 2θ = 31.2°, rel. 1000; 2θ = 31.7°, rel. 233; 2θ = 38.9°, rel. 146; 2θ = 44.6°, rel. 361; 2θ = 50.8°, rel. 164; 2θ = 56.1°, rel. 233; 2θ = 73.9°, rel. 137

Crystal structure
Cell lengths 5.8555, 8.1119, 5.6431 Å; angles 90.00, 90.00, 90.00 degrees
Element x y z (fractional)
Pr 0.0546 0.2500 0.0148
Pr 0.4454 0.7500 0.5148
Pr 0.5546 0.2500 0.4852
Pr 0.9454 0.7500 0.9852
Sc 0.0000 0.0000 0.5000
Sc 0.0000 0.5000 0.5000
Sc 0.5000 0.0000 0.0000
Sc 0.5000 0.5000 0.0000
O 0.0395 0.7500 0.3934
O 0.2006 0.5564 0.8001
O 0.2006 0.9436 0.8001
O 0.2994 0.0564 0.3001
O 0.2994 0.4436 0.3001
O 0.4605 0.2500 0.8934
O 0.5395 0.7500 0.1066
O 0.7006 0.5564 0.6999
O 0.7006 0.9436 0.6999
O 0.7994 0.0564 0.1999
O 0.7994 0.4436 0.1999
O 0.9605 0.2500 0.6066

Entry 6:
Diffraction record for SrPrScO4. The powder diffraction line list is simulated, not measured: it uses a crystal structure in the Materials Project, relaxed with GGA-PBE and copper Kα.
Peak positions follow from Bragg's law for the DFT cell and can differ from measured ones.

Main lines, low angle first (2θ = 15–90°):
2θ = 23.1°, rel. 347; 2θ = 28.3°, rel. 129; 2θ = 30.7°, rel. 1000; 2θ = 31.3°, rel. 747; 2θ = 42.2°, rel. 137; 2θ = 42.7°, rel. 360; 2θ = 44.8°, rel. 406; 2θ = 54.1°, rel. 161; 2θ = 55.3°, rel. 387; 2θ = 63.9°, rel. 137

Crystal structure
Cell lengths 6.9251, 6.9251, 6.9251 Å; angles 146.05, 146.05, 48.77 degrees
Element x y z (fractional)
Sr 0.0000 0.0000 0.0000
Pr 0.7143 0.7143 0.0000
Sc 0.3581 0.3581 0.0000
O 0.1844 0.1844 0.0000
O 0.3432 0.8432 0.5000
O 0.5292 0.5292 0.0000
O 0.8432 0.3432 0.5000